No. 1
Starting from a DFT-relaxed cell (PBE+U, the Materials Project), the powder XRD pattern of Na2VF5 was computed for Cu Kα X-rays.
No peak broadening, texture or thermal motion is included.

Structure:
```
32
Lattice="7.5696 0.0000 0.0000 0.0000 5.3955 0.0000 -3.3803 0.0000 10.5739" Properties=species:S:1:pos:R:3 pbc="T T T"
Na -0.1226 0.0484 3.8822
Na -1.8128 2.6493 9.1691
Na 2.0068 3.0191 1.9328
Na 0.3167 5.0741 7.2198
Na 3.8726 0.3214 3.3541
Na 2.1825 2.3763 8.6410
Na 6.0021 2.7461 1.4048
Na 4.3119 5.3471 6.6917
V 0.0000 0.0000 0.0000
V -1.6901 2.6977 5.2869
V 3.7848 0.0000 0.0000
V 2.0947 2.6977 5.2869
F -1.8838 3.5166 7.0627
F -0.1937 4.5766 1.7758
F -1.1154 1.0219 6.0715
F 0.5747 1.6759 0.7846
F 0.1994 3.5180 5.3157
F 1.8896 4.5752 0.0288
F -0.0478 1.2062 9.1185
F 1.6423 1.4916 3.8315
F 2.4496 4.0445 3.9289
F 0.7595 4.0487 9.2158
F 3.4299 1.3468 1.3581
F 1.7397 1.3509 6.6450
F 2.5470 3.9039 6.7423
F 4.2372 4.1893 1.4554
F 2.2997 0.8202 10.5451
F 3.9899 1.8775 5.2581
F 3.6146 3.7196 9.7893
F 5.3047 4.3736 4.5023
F 4.3830 0.8189 8.7981
F 6.0731 1.8788 3.5112
```

The 10 most intense peaks (2θ from 15° to 90°), sorted by position:
- 2θ 16.8, 5.287 Å, intensity 58
- 2θ 18.5, 4.806 Å, intensity 54
- 2θ 24.7, 3.605 Å, intensity 28
- 2θ 28.8, 3.097 Å, intensity 100
- 2θ 30.3, 2.951 Å, intensity 79
- 2θ 37.5, 2.401 Å, intensity 16
- 2θ 39.8, 2.263 Å, intensity 32
- 2θ 48.1, 1.890 Å, intensity 30
- 2θ 48.3, 1.883 Å, intensity 45
- 2θ 49.4, 1.846 Å, intensity 27

---

No. 2
Starting from a DFT-relaxed cell (PBE+U, the Materials Project), the powder XRD pattern of NaVF4 was computed for Cu Kα X-rays.
No peak broadening, texture or thermal motion is included.

Structure:
```
24
Lattice="8.1580 0.0000 0.0000 0.0000 5.4405 0.0000 -1.7157 0.0000 7.5382" Properties=species:S:1:pos:R:3 pbc="T T T"
Na 0.3366 1.1854 2.9709
Na -0.5213 1.5349 6.7400
Na 6.9635 3.9056 0.7982
Na 6.1056 4.2552 4.5673
V 2.3053 4.0659 1.5248
V 1.4474 4.0949 5.2939
V 4.9948 1.3456 2.2443
V 4.1369 1.3747 6.0134
F 0.7827 2.8695 1.4182
F -0.0752 5.2913 5.1873
F 1.1900 0.0686 0.9554
F 0.3321 2.6517 4.7245
F 0.9946 3.4974 7.1713
F 1.8525 4.6634 3.4022
F 2.5363 0.1842 5.9839
F 3.3941 2.5361 2.2148
F 3.0481 2.9045 5.3234
F 3.9060 5.2563 1.5543
F 4.5898 0.7771 4.1360
F 5.4476 1.9432 0.3669
F 6.1101 2.7889 2.8137
F 5.2523 5.3719 6.5828
F 6.5174 0.1493 2.3509
F 5.6596 2.5710 6.1200
```

The 10 most intense peaks (2θ from 15° to 90°), sorted by position:
- 2θ 19.8, 4.491 Å, intensity 82
- 2θ 23.6, 3.769 Å, intensity 37
- 2θ 23.8, 3.743 Å, intensity 33
- 2θ 27.8, 3.211 Å, intensity 100
- 2θ 28.8, 3.098 Å, intensity 35
- 2θ 29.0, 3.083 Å, intensity 22
- 2θ 47.0, 1.933 Å, intensity 30
- 2θ 47.9, 1.899 Å, intensity 28
- 2θ 49.8, 1.831 Å, intensity 37
- 2θ 50.3, 1.816 Å, intensity 23

---

No. 3
Starting from a DFT-relaxed cell (PBE+U, the Materials Project), the powder XRD pattern of NaV3F7 was computed for Cu Kα X-rays.
No peak broadening, texture or thermal motion is included.

Structure:
```
22
Lattice="6.4120 -3.7572 0.0000 6.4120 3.7572 0.0000 -4.1365 0.0000 6.1276" Properties=species:S:1:pos:R:3 pbc="T T T"
Na 0.0000 0.0000 0.0000
Na -2.0683 0.0000 3.0638
V 3.2060 1.8786 0.0000
V 1.1377 1.8786 3.0638
V 3.2060 -1.8786 0.0000
V 1.1377 -1.8786 3.0638
V 6.4120 0.0000 0.0000
V 4.3437 0.0000 3.0638
F 0.3916 0.0492 2.4218
F 3.0042 1.3547 2.0541
F -1.6767 -0.0492 5.4856
F 1.1195 1.6795 5.8060
F 3.3096 0.9283 4.5957
F 5.4996 1.6795 3.3854
F 7.7514 1.3547 1.0097
F 0.9360 -1.3547 5.1179
F 3.1878 -1.6795 2.7422
F 5.3778 -0.9283 1.5319
F 7.5679 -1.6795 0.3216
F 10.3641 0.0492 0.6420
F 5.6831 -1.3547 4.0735
F 8.2958 -0.0492 3.7058
```

The 10 most intense peaks (2θ from 15° to 90°), sorted by position:
- 2θ 28.0, 3.183 Å, intensity 10
- 2θ 29.1, 3.066 Å, intensity 100
- 2θ 29.7, 3.005 Å, intensity 24
- 2θ 34.0, 2.635 Å, intensity 10
- 2θ 48.3, 1.885 Å, intensity 29
- 2θ 48.5, 1.879 Å, intensity 12
- 2θ 49.0, 1.857 Å, intensity 31
- 2θ 49.3, 1.848 Å, intensity 19
- 2θ 57.5, 1.602 Å, intensity 28
- 2θ 57.9, 1.592 Å, intensity 19

---

No. 4
Starting from a DFT-relaxed cell (PBE+U, the Materials Project), the powder XRD pattern of NaVF3 was computed for Cu Kα X-rays.
No peak broadening, texture or thermal motion is included.

Structure:
```
5
Lattice="4.1678 0.0000 0.0000 0.0000 4.1678 0.0000 0.0000 0.0000 4.1678" Properties=species:S:1:pos:R:3 pbc="T T T"
Na 0.0000 0.0000 0.0000
V 2.0839 2.0839 2.0839
F 0.0000 2.0839 2.0839
F 2.0839 0.0000 2.0839
F 2.0839 2.0839 0.0000
```

The 10 most intense peaks (2θ from 15° to 90°), sorted by position:
- 2θ 21.3, 4.168 Å, intensity 90
- 2θ 30.3, 2.947 Å, intensity 98
- 2θ 37.4, 2.406 Å, intensity 13
- 2θ 43.4, 2.084 Å, intensity 100
- 2θ 48.9, 1.864 Å, intensity 30
- 2θ 53.9, 1.702 Å, intensity 36
- 2θ 63.1, 1.474 Å, intensity 54
- 2θ 71.6, 1.318 Å, intensity 15
- 2θ 79.7, 1.203 Å, intensity 16
- 2θ 87.6, 1.114 Å, intensity 17